HgPd17: theoretical powder XRD pattern (Cu Kα (weighted mean of Kα1 and Kα2)), based on a DFT-relaxed cell (GGA-PBE, OQMD).
No peak broadening, texture or thermal motion is included.

a = 5.5318 Å, b = 5.5318 Å, c = 31.8949 Å
α = 90.00°, β = 90.00°, γ = 120.00°
Element x y z (fractional)
Hg 0.3333 0.6667 0.2986
Hg 0.6667 0.3333 0.7014
Pd 0.0000 0.0000 0.0000
Pd 0.0000 0.0000 0.2147
Pd 0.0000 0.0000 0.7853
Pd 0.0000 0.5000 0.0000
Pd 0.0013 0.5007 0.2156
Pd 0.1664 0.3328 0.7129
Pd 0.1664 0.8336 0.7129
Pd 0.1666 0.3332 0.9283
Pd 0.1669 0.3337 0.1435
Pd 0.1669 0.8331 0.1435
Pd 0.1666 0.8334 0.9283
Pd 0.3328 0.1664 0.2871
Pd 0.3332 0.1666 0.0717
Pd 0.3333 0.6667 0.0719
Pd 0.3333 0.6667 0.8567
Pd 0.3337 0.1669 0.8565
Pd 0.4993 0.5007 0.2156
Pd 0.4993 0.9987 0.2156
Pd 0.5000 0.0000 0.0000
Pd 0.5000 0.5000 0.0000
Pd 0.5007 0.0013 0.7844
Pd 0.5007 0.4993 0.7844
Pd 0.6663 0.8331 0.1435
Pd 0.6667 0.3333 0.1433
Pd 0.6667 0.3333 0.9281
Pd 0.6668 0.8334 0.9283
Pd 0.6672 0.8336 0.7129
Pd 0.8334 0.1666 0.0717
Pd 0.8331 0.1669 0.8565
Pd 0.8331 0.6663 0.8565
Pd 0.8334 0.6668 0.0717
Pd 0.8336 0.1664 0.2871
Pd 0.8336 0.6672 0.2871
Pd 0.9987 0.4993 0.7844

Main lines, in order of rising 2θ (2θ from 5° to 70°):
- 5.54°, d = 15.947 Å, intensity 100, hkl 0 0 2
- 11.10°, d = 7.974 Å, intensity 8, hkl 0 0 4
- 36.63°, d = 2.453 Å, intensity 9, hkl 0 0 13
- 39.27°, d = 2.294 Å, intensity 39, hkl 2 0 4
- 39.56°, d = 2.278 Å, intensity 19, hkl 0 0 14
- 40.22°, d = 2.242 Å, intensity 49, hkl 2 0 5
- 45.72°, d = 1.985 Å, intensity 39, hkl 0 2 9
- 47.47°, d = 1.915 Å, intensity 14, hkl 0 2 10
- 65.53°, d = 1.425 Å, intensity 10, hkl 2 0 18
- 67.78°, d = 1.383 Å, intensity 17, hkl 2 2 0



HgPd9: theoretical powder XRD pattern (Cu Kα (weighted mean of Kα1 and Kα2)), based on a DFT-relaxed cell (GGA-PBE, OQMD).
No peak broadening, texture or thermal motion is included.

a = 2.8188 Å, b = 3.8172 Å, c = 39.0859 Å
α = 90.00°, β = 90.00°, γ = 90.00°
Element x y z (fractional)
Hg 0.2500 0.2500 0.1493
Hg 0.7500 0.7500 0.8507
Pd 0.2500 0.2500 0.2269
Pd 0.2500 0.2500 0.2997
Pd 0.2500 0.2500 0.3721
Pd 0.2500 0.2500 0.4447
Pd 0.2500 0.2500 0.5185
Pd 0.2500 0.2500 0.5917
Pd 0.2500 0.2500 0.6641
Pd 0.2500 0.2500 0.7370
Pd 0.2500 0.2500 0.8106
Pd 0.7500 0.7500 0.1894
Pd 0.7500 0.7500 0.2630
Pd 0.7500 0.7500 0.3359
Pd 0.7500 0.7500 0.4083
Pd 0.7500 0.7500 0.4815
Pd 0.7500 0.7500 0.5553
Pd 0.7500 0.7500 0.6279
Pd 0.7500 0.7500 0.7003
Pd 0.7500 0.7500 0.7731

Main lines, in order of rising 2θ (2θ from 5° to 70°):
- 6.78°, d = 13.029 Å, intensity 52, hkl 0 0 3
- 38.10°, d = 2.362 Å, intensity 42, hkl 0 1 13
- 39.76°, d = 2.267 Å, intensity 100, hkl 1 1 0
- 40.01°, d = 2.253 Å, intensity 74, hkl 0 1 14
- 44.03°, d = 2.056 Å, intensity 27, hkl 1 0 13
- 45.74°, d = 1.984 Å, intensity 45, hkl 1 0 14
- 47.65°, d = 1.908 Å, intensity 30, hkl 0 2 0
- 66.33°, d = 1.409 Å, intensity 11, hkl 2 0 0
- 66.88°, d = 1.399 Å, intensity 15, hkl 1 2 13
- 68.19°, d = 1.375 Å, intensity 27, hkl 1 2 14



HgPd17: theoretical powder XRD pattern (Cu Kα (weighted mean of Kα1 and Kα2)), based on a DFT-relaxed cell (GGA-PBE, OQMD).
No peak broadening, texture or thermal motion is included.

a = 4.7868 Å, b = 5.5305 Å, c = 32.9226 Å
α = 90.00°, β = 90.01°, γ = 90.00°
Element x y z (fractional)
Hg 0.1658 0.2500 0.2899
Hg 0.8342 0.7500 0.7101
Pd 0.0000 0.0000 0.0000
Pd 0.0004 0.0015 0.2085
Pd 0.0004 0.4985 0.2085
Pd 0.0000 0.5000 0.0000
Pd 0.9996 0.5015 0.7915
Pd 0.9996 0.9985 0.7915
Pd 0.1652 0.2500 0.8619
Pd 0.1671 0.2500 0.0693
Pd 0.1675 0.7500 0.0691
Pd 0.1669 0.7500 0.8613
Pd 0.1678 0.7500 0.2778
Pd 0.3332 0.9999 0.9309
Pd 0.3332 0.5001 0.9309
Pd 0.3340 0.0004 0.1386
Pd 0.3336 0.0046 0.7222
Pd 0.3336 0.4954 0.7222
Pd 0.3340 0.4996 0.1386
Pd 0.4967 0.2500 0.2089
Pd 0.4984 0.2500 0.7927
Pd 0.4998 0.2500 0.0001
Pd 0.5002 0.7500 0.9999
Pd 0.5016 0.7500 0.2073
Pd 0.5033 0.7500 0.7911
Pd 0.6660 0.9996 0.8614
Pd 0.6660 0.5004 0.8614
Pd 0.6664 0.5046 0.2778
Pd 0.6664 0.9954 0.2778
Pd 0.6668 0.0001 0.0691
Pd 0.6668 0.4999 0.0691
Pd 0.8322 0.2500 0.7222
Pd 0.8331 0.2500 0.1387
Pd 0.8325 0.2500 0.9309
Pd 0.8329 0.7500 0.9307
Pd 0.8348 0.7500 0.1381

Main lines, in order of rising 2θ (2θ from 5° to 70°):
- 5.37°, d = 16.461 Å, intensity 100, hkl 0 0 2
- 10.75°, d = 8.231 Å, intensity 12, hkl 0 0 4
- 38.27°, d = 2.352 Å, intensity 21, hkl 0 0 14
- 39.19°, d = 2.299 Å, intensity 32, hkl 1 2 4
- 40.08°, d = 2.250 Å, intensity 62, hkl 1 2 5
- 41.13°, d = 2.195 Å, intensity 14, hkl 0 0 15
- 45.27°, d = 2.003 Å, intensity 31, hkl 2 0 9
- 46.92°, d = 1.936 Å, intensity 30, hkl 2 0 10
- 66.63°, d = 1.404 Å, intensity 12, hkl 1 2 19
- 67.80°, d = 1.382 Å, intensity 16, hkl 3 2 0